The following is a simulated powder diffraction line list of Na2PrHg3. It was derived from a structure optimized by DFT (GGA-PBE), using Cu Ka.
No peak broadening, texture or thermal motion is included.

Structural model:
```
Na2PrHg3
1.0
2.664 -8.013 0.000
2.664 8.013 0.000
0.000 0.000 7.573
Na Pr Hg
4 2 6
Direct
0.000 0.000 0.000
0.000 0.000 0.500
0.333 0.667 0.000
0.667 0.333 0.000
0.337 0.663 0.500
0.663 0.337 0.500
0.169 0.831 0.251
0.169 0.831 0.749
0.500 0.500 0.244
0.500 0.500 0.756
0.831 0.169 0.251
0.831 0.169 0.749
```

Peak list (12 most intense, 2θ from 10° to 90°, in order of falling intensity)
d_spacing	Position (°2θ)	I_rel
2.672	33.53	100
3.777	23.55	38
1.543	59.94	30
2.664	33.64	20
1.540	60.09	15
1.886	48.24	15
2.181	41.40	12
1.336	70.48	12
1.194	80.46	10
1.689	54.33	9
1.893	48.06	7
1.197	80.19	7